The following is a calculated powder diffractogram of AcTeAuSe. It was derived from a cell relaxed with GGA-PBE, using a wavelength of 1.5418 Å.
Kinematic intensities with the Lorentz-polarization factor, no thermal factor.

Atomic structure:
```
data_AcTeAuSe
_chemical_formula_sum 'Ac6 Te6 Au6 Se6'
_space_group_name_H-M_alt 'R -3 m'
_space_group_IT_number 166
_space_group_name_Hall '-R 3 2"'
_cell_length_a 4.8373
_cell_length_b 4.8373
_cell_length_c 38.9213
_cell_angle_alpha 90.00
_cell_angle_beta 90.00
_cell_angle_gamma 120.00
loop_
_atom_site_label
_atom_site_fract_x
_atom_site_fract_y
_atom_site_fract_z
Ac1 0.0000 0.0000 0.1102
Te1 0.0000 0.0000 0.3814
Au1 0.0000 0.0000 0.2782
Se1 0.0000 0.0000 0.1944
```

Principal peaks in the range 10 to 90 degrees two-theta, by intensity:
2θ 37.17, intensity 100; 2θ 31.37, intensity 47; 2θ 21.70, intensity 39; 2θ 13.65, intensity 38; 2θ 33.14, intensity 38; 2θ 46.86, intensity 33; 2θ 28.11, intensity 29; 2θ 57.14, intensity 27

***

The following is a calculated powder diffractogram of Er2MgCd4. It was derived from a cell relaxed with GGA-PBE, using a wavelength of 1.5418 Å.
Kinematic intensities with the Lorentz-polarization factor, no thermal factor.

Atomic structure:
```
data_Er2MgCd4
_chemical_formula_sum 'Er6 Mg3 Cd12'
_space_group_name_H-M_alt 'R -3 m'
_space_group_IT_number 166
_space_group_name_Hall '-R 3 2"'
_cell_length_a 5.0281
_cell_length_b 5.0281
_cell_length_c 24.8012
_cell_angle_alpha 90.00
_cell_angle_beta 90.00
_cell_angle_gamma 120.00
loop_
_atom_site_label
_atom_site_fract_x
_atom_site_fract_y
_atom_site_fract_z
Er1 0.0000 0.0000 0.2473
Mg1 0.0000 0.0000 0.5000
Cd1 0.0000 0.0000 0.1218
Cd2 0.0000 0.0000 0.3721
```

Principal peaks in the range 10 to 90 degrees two-theta, by intensity:
2θ 35.71, intensity 100; 2θ 35.55, intensity 99; 2θ 21.63, intensity 49; 2θ 64.06, intensity 34; 2θ 51.28, intensity 34; 2θ 42.09, intensity 27; 2θ 64.16, intensity 17; 2θ 21.50, intensity 17

***

The following is a calculated powder diffractogram of Ba2Y2CuPtO8. It was derived from a cell relaxed with GGA-PBE, using a wavelength of 1.5418 Å.
Kinematic intensities with the Lorentz-polarization factor, no thermal factor.

Atomic structure:
```
data_Ba2Y2CuPtO8
_chemical_formula_sum 'Ba8 Y8 Cu4 Pt4 O32'
_space_group_name_H-M_alt 'P n m a'
_space_group_IT_number 62
_cell_length_a 13.3893
_cell_length_b 5.7439
_cell_length_c 10.4622
_cell_angle_alpha 90.00
_cell_angle_beta 90.00
_cell_angle_gamma 90.00
loop_
_space_group_symop_operation_xyz
'x,y,z'
'-x,-y,-z'
'-x+1/2,-y,z+1/2'
'x+1/2,y,-z+1/2'
'x+1/2,-y+1/2,-z+1/2'
'-x+1/2,y+1/2,z+1/2'
'-x,y+1/2,-z'
'x,-y+1/2,z'
loop_
_atom_site_label
_atom_site_fract_x
_atom_site_fract_y
_atom_site_fract_z
Ba1 0.0764 0.2500 0.0895
Ba2 0.2080 0.7500 0.3124
Y1 0.0835 0.2500 0.4849
Y2 0.1425 0.7500 0.6863
Cu1 0.0388 0.2500 0.7663
Pt1 0.1935 0.7500 0.9659
O1 0.0080 0.0073 0.6360
O2 0.0888 0.7500 0.1074
O3 0.1139 0.5068 0.8598
O4 0.2042 0.2500 0.3127
O5 0.2171 0.0090 0.5540
```

Principal peaks in the range 10 to 90 degrees two-theta, by intensity:
2θ 30.92, intensity 100; 2θ 30.73, intensity 82; 2θ 31.14, intensity 61; 2θ 29.98, intensity 36; 2θ 45.69, intensity 29; 2θ 37.23, intensity 26; 2θ 18.83, intensity 24; 2θ 41.17, intensity 22

***

The following is a calculated powder diffractogram of CsLi2PuI8. It was derived from a cell relaxed with GGA-PBE, using a wavelength of 1.5418 Å.
Kinematic intensities with the Lorentz-polarization factor, no thermal factor.

Atomic structure:
```
data_CsLi2PuI8
_chemical_formula_sum 'Cs2 Li4 Pu2 I16'
_space_group_name_H-M_alt 'C 1 2/m 1'
_space_group_IT_number 12
_cell_length_a 14.3739
_cell_length_b 8.6986
_cell_length_c 10.7352
_cell_angle_alpha 90.00
_cell_angle_beta 124.26
_cell_angle_gamma 90.00
loop_
_space_group_symop_operation_xyz
'x,y,z'
'-x,-y,-z'
'-x,y,-z'
'x,-y,z'
'x+1/2,y+1/2,z'
'-x+1/2,-y+1/2,-z'
'-x+1/2,y+1/2,-z'
'x+1/2,-y+1/2,z'
loop_
_atom_site_label
_atom_site_fract_x
_atom_site_fract_y
_atom_site_fract_z
Cs1 0.0000 0.0000 0.0000
Li1 0.0439 0.5000 0.3538
Pu1 0.0000 0.0000 0.5000
I1 0.1009 0.5000 0.1460
I2 0.1020 0.2533 0.7444
I3 0.2099 0.0000 0.4779
```

Principal peaks in the range 10 to 90 degrees two-theta, by intensity:
2θ 24.98, intensity 100; 2θ 23.97, intensity 89; 2θ 28.74, intensity 82; 2θ 13.23, intensity 61; 2θ 40.18, intensity 55; 2θ 27.12, intensity 43; 2θ 49.07, intensity 31; 2θ 41.53, intensity 27

***

The following is a calculated powder diffractogram of ZnPb4Au5. It was derived from a cell relaxed with GGA-PBE, using a wavelength of 1.5418 Å.
Kinematic intensities with the Lorentz-polarization factor, no thermal factor.

Atomic structure:
```
data_ZnPb4Au5
_chemical_formula_sum 'Zn2 Pb8 Au10'
_space_group_name_H-M_alt 'I 4'
_space_group_IT_number 79
_cell_length_a 8.9332
_cell_length_b 8.9332
_cell_length_c 5.9402
_cell_angle_alpha 90.00
_cell_angle_beta 90.00
_cell_angle_gamma 90.00
loop_
_space_group_symop_operation_xyz
'x,y,z'
'-y,x,z'
'-x,-y,z'
'y,-x,z'
'x+1/2,y+1/2,z+1/2'
'-y+1/2,x+1/2,z+1/2'
'-x+1/2,-y+1/2,z+1/2'
'y+1/2,-x+1/2,z+1/2'
loop_
_atom_site_label
_atom_site_fract_x
_atom_site_fract_y
_atom_site_fract_z
Zn1 0.0000 0.0000 0.0000
Pb1 0.0688 0.6879 0.2564
Au1 0.0000 0.0000 0.4459
Au2 0.0878 0.7625 0.7603
```

Principal peaks in the range 10 to 90 degrees two-theta, by intensity:
2θ 31.67, intensity 100; 2θ 44.25, intensity 67; 2θ 30.09, intensity 44; 2θ 39.40, intensity 34; 2θ 41.75, intensity 34; 2θ 33.67, intensity 32; 2θ 45.40, intensity 21; 2θ 71.82, intensity 18

***

The following is a calculated powder diffractogram of Sm4SbPt. It was derived from a cell relaxed with GGA-PBE, using a wavelength of 1.5418 Å.
Kinematic intensities with the Lorentz-polarization factor, no thermal factor.

Atomic structure:
```
data_Sm4SbPt
_chemical_formula_sum 'Sm16 Sb4 Pt4'
_space_group_name_H-M_alt 'C 1 2/c 1'
_space_group_IT_number 15
_cell_length_a 8.9405
_cell_length_b 14.0537
_cell_length_c 5.9538
_cell_angle_alpha 90.00
_cell_angle_beta 113.25
_cell_angle_gamma 90.00
loop_
_space_group_symop_operation_xyz
'x,y,z'
'-x,-y,-z'
'-x,y,-z+1/2'
'x,-y,z+1/2'
'x+1/2,y+1/2,z'
'-x+1/2,-y+1/2,-z'
'-x+1/2,y+1/2,-z+1/2'
'x+1/2,-y+1/2,z+1/2'
loop_
_atom_site_label
_atom_site_fract_x
_atom_site_fract_y
_atom_site_fract_z
Sm1 0.1130 0.1846 0.0710
Sm2 0.2128 0.4249 0.3361
Sb1 0.0000 0.3787 0.7500
Pt1 0.0000 0.0019 0.2500
```

Principal peaks in the range 10 to 90 degrees two-theta, by intensity:
2θ 30.84, intensity 100; 2θ 34.51, intensity 80; 2θ 33.70, intensity 74; 2θ 35.81, intensity 71; 2θ 33.35, intensity 58; 2θ 12.48, intensity 46; 2θ 30.23, intensity 43; 2θ 35.21, intensity 38

***

What did the sixth record say?
The following is a calculated powder diffractogram of Sm4SbPt. It was derived from a cell relaxed with GGA-PBE, using a wavelength of 1.5418 Å.
Kinematic intensities with the Lorentz-polarization factor, no thermal factor.

Atomic structure:
```
data_Sm4SbPt
_chemical_formula_sum 'Sm16 Sb4 Pt4'
_space_group_name_H-M_alt 'C 1 2/c 1'
_space_group_IT_number 15
_cell_length_a 8.9405
_cell_length_b 14.0537
_cell_length_c 5.9538
_cell_angle_alpha 90.00
_cell_angle_beta 113.25
_cell_angle_gamma 90.00
loop_
_space_group_symop_operation_xyz
'x,y,z'
'-x,-y,-z'
'-x,y,-z+1/2'
'x,-y,z+1/2'
'x+1/2,y+1/2,z'
'-x+1/2,-y+1/2,-z'
'-x+1/2,y+1/2,-z+1/2'
'x+1/2,-y+1/2,z+1/2'
loop_
_atom_site_label
_atom_site_fract_x
_atom_site_fract_y
_atom_site_fract_z
Sm1 0.1130 0.1846 0.0710
Sm2 0.2128 0.4249 0.3361
Sb1 0.0000 0.3787 0.7500
Pt1 0.0000 0.0019 0.2500
```

Principal peaks in the range 10 to 90 degrees two-theta, by intensity:
2θ 30.84, intensity 100; 2θ 34.51, intensity 80; 2θ 33.70, intensity 74; 2θ 35.81, intensity 71; 2θ 33.35, intensity 58; 2θ 12.48, intensity 46; 2θ 30.23, intensity 43; 2θ 35.21, intensity 38